Record 1
LaPmAgSn: simulated PXRD pattern (Cu Kα), based on a crystal structure in Alexandria, relaxed with GGA-PBE.
Kinematic intensities with the Lorentz-polarization factor, no thermal factor.

Peak list (7 most intense, 2θ from 10° to 90°, in order of rising 2θ)
23.12°, I = 1.1
32.92°, I = 100.0
47.25°, I = 18.2
58.78°, I = 37.7
69.04°, I = 11.6
78.63°, I = 16.3
87.91°, I = 4.2

Atomic structure:
```
LaPmAgSn
1.0
0.0000 3.8477 3.8477
3.8477 0.0000 3.8477
3.8477 3.8477 0.0000
La Pm Ag Sn
1 1 1 1
direct
0.0000 0.0000 0.0000
0.5000 0.5000 0.5000
0.2500 0.2500 0.2500
0.7500 0.7500 0.7500
```

Record 2
BaSmS2O8: simulated PXRD pattern (Cu Kα), based on a crystal structure in Alexandria, relaxed with GGA-PBE.
Kinematic intensities with the Lorentz-polarization factor, no thermal factor.

Peak list (10 most intense, 2θ from 10° to 90°, in order of rising 2θ)
19.49°, I = 84.9
22.20°, I = 29.9
28.91°, I = 100.0
34.10°, I = 45.9
40.47°, I = 34.6
45.30°, I = 40.5
47.66°, I = 19.1
53.22°, I = 14.7
56.02°, I = 19.1
57.90°, I = 25.0

Atomic structure:
```
BaSmS2O8
1.0
5.2583 0.0000 0.0000
-2.6291 4.5538 0.0000
0.0000 0.0000 8.4050
Ba Sm S O
1 1 2 8
direct
0.0000 0.0000 0.0000
0.0000 0.0000 0.5000
0.3333 0.6667 0.7711
0.6667 0.3333 0.2289
0.1765 0.3570 0.7142
0.1805 0.8235 0.7142
0.3333 0.6667 0.9481
0.3570 0.1805 0.2858
0.6430 0.8195 0.7142
0.6667 0.3333 0.0519
0.8195 0.1765 0.2858
0.8235 0.6430 0.2858
```

Record 3
La6AlSe5: simulated PXRD pattern (Cu Kα), based on a crystal structure in Alexandria, relaxed with GGA-PBE.
Kinematic intensities with the Lorentz-polarization factor, no thermal factor.

Peak list (10 most intense, 2θ from 10° to 90°, in order of rising 2θ)
25.04°, I = 14.2
28.98°, I = 100.0
41.44°, I = 75.3
49.03°, I = 9.5
51.36°, I = 26.7
60.05°, I = 12.5
68.02°, I = 28.5
68.08°, I = 5.7
75.54°, I = 10.6
75.63°, I = 14.7

Atomic structure:
```
La6AlSe5
1.0
3.7765 -6.5327 0.0000
3.7765 6.5327 0.0000
-2.5060 0.0000 7.1152
La Al Se
6 1 5
direct
0.0830 0.4167 0.7497
0.2487 0.2487 0.2489
0.4167 0.0830 0.7497
0.5833 0.9170 0.2503
0.7513 0.7513 0.7511
0.9170 0.5833 0.2503
0.5000 0.5000 0.0000
0.0000 0.0000 0.5000
0.1668 0.8332 0.0000
0.3340 0.6660 0.5000
0.6660 0.3340 0.5000
0.8332 0.1668 0.0000
```

Record 4
AcPrReN4: simulated PXRD pattern (Cu Kα), based on a crystal structure in Alexandria, relaxed with GGA-PBE.
Kinematic intensities with the Lorentz-polarization factor, no thermal factor.

Peak list (10 most intense, 2θ from 10° to 90°, in order of rising 2θ)
13.62°, I = 11.0
30.58°, I = 100.0
31.95°, I = 55.4
41.54°, I = 11.6
41.68°, I = 10.9
45.82°, I = 24.5
53.46°, I = 17.2
56.09°, I = 38.1
63.65°, I = 12.2
75.97°, I = 9.5

Atomic structure:
```
AcPrReN4
1.0
-1.9805 1.9805 6.5006
1.9805 -1.9805 6.5006
1.9805 1.9805 -6.5006
Ac Pr Re N
1 1 1 4
direct
0.0000 0.0000 0.0000
0.7094 0.7094 0.0000
0.3507 0.3507 0.0000
0.1930 0.1930 0.0000
0.3507 0.8507 0.5000
0.5182 0.5182 0.0000
0.8507 0.3507 0.5000
```

Record 5
TeMoWSeS2: simulated PXRD pattern (Cu Kα), based on a crystal structure in Alexandria, relaxed with GGA-PBE.
Kinematic intensities with the Lorentz-polarization factor, no thermal factor.

Peak list (10 most intense, 2θ from 10° to 90°, in order of rising 2θ)
12.41°, I = 100.0
14.90°, I = 20.7
31.26°, I = 31.9
32.18°, I = 12.9
33.75°, I = 13.9
36.00°, I = 42.4
37.34°, I = 48.0
43.92°, I = 29.6
45.82°, I = 27.4
55.65°, I = 25.8

Atomic structure:
```
TeMoWSeS2
1.0
3.3036 0.0000 0.0000
-1.6518 2.8610 0.0000
0.0000 0.0000 35.6707
Te Mo W Se S
2 2 2 2 4
direct
0.0000 0.0000 0.0000
0.0000 0.0000 0.1073
0.0000 0.0000 0.2640
0.6667 0.3333 0.0537
0.0000 0.0000 0.6538
0.6667 0.3333 0.4596
0.6667 0.3333 0.2169
0.6667 0.3333 0.3111
0.0000 0.0000 0.4165
0.0000 0.0000 0.5026
0.6667 0.3333 0.6108
0.6667 0.3333 0.6969
```

Record 6
La2Zn2GaPd5: simulated PXRD pattern (Cu Kα), based on a crystal structure in Alexandria, relaxed with GGA-PBE.
Kinematic intensities with the Lorentz-polarization factor, no thermal factor.

Peak list (10 most intense, 2θ from 10° to 90°, in order of rising 2θ)
31.15°, I = 24.4
34.89°, I = 27.3
37.03°, I = 58.7
37.20°, I = 100.0
38.15°, I = 23.7
40.46°, I = 41.6
43.51°, I = 14.9
48.65°, I = 25.1
62.69°, I = 24.7
64.62°, I = 12.1

Atomic structure:
```
La2Zn2GaPd5
1.0
10.0086 0.0000 0.0000
0.0000 10.0086 0.0000
0.0000 0.0000 3.7428
La Zn Ga Pd
4 4 2 10
direct
0.1782 0.3218 0.0000
0.3218 0.8218 0.0000
0.6782 0.1782 0.0000
0.8218 0.6782 0.0000
0.1200 0.6200 0.0000
0.3800 0.1200 0.0000
0.6200 0.8800 0.0000
0.8800 0.3800 0.0000
0.0000 0.0000 0.0000
0.5000 0.5000 0.0000
0.0000 0.5000 0.5000
0.0597 0.7971 0.5000
0.2029 0.0597 0.5000
0.2971 0.5597 0.5000
0.4403 0.2971 0.5000
0.5000 0.0000 0.5000
0.5597 0.7029 0.5000
0.7029 0.4403 0.5000
0.7971 0.9403 0.5000
0.9403 0.2029 0.5000
```

Record 7
Be2TlGaCl6: simulated PXRD pattern (Cu Kα), based on a crystal structure in Alexandria, relaxed with GGA-PBE.
Kinematic intensities with the Lorentz-polarization factor, no thermal factor.

Peak list (10 most intense, 2θ from 10° to 90°, in order of rising 2θ)
13.22°, I = 38.4
15.34°, I = 49.1
17.59°, I = 67.1
21.03°, I = 100.0
22.12°, I = 75.4
27.57°, I = 31.9
32.62°, I = 67.9
35.12°, I = 41.6
36.29°, I = 39.0
38.83°, I = 27.7

Atomic structure:
```
Be2TlGaCl6
1.0
6.0720 -6.4711 0.0000
6.0720 6.4711 0.0000
-2.6109 0.0000 8.0388
Be Tl Ga Cl
4 2 2 12
direct
0.0847 0.4035 0.2496
0.4035 0.0847 0.7496
0.5965 0.9153 0.2504
0.9153 0.5965 0.7504
0.1382 0.8618 0.2500
0.8618 0.1382 0.7500
0.4081 0.5919 0.7500
0.5919 0.4081 0.2500
0.0471 0.1891 0.1369
0.0806 0.4658 0.7658
0.1891 0.0471 0.6369
0.2911 0.4992 0.3709
0.4658 0.0806 0.2658
0.4992 0.2911 0.8709
0.5008 0.7089 0.1291
0.5342 0.9194 0.7342
0.7089 0.5008 0.6291
0.8109 0.9529 0.3631
0.9194 0.5342 0.2342
0.9529 0.8109 0.8631
```

Record 8
Pr4Si3: simulated PXRD pattern (Cu Kα), based on a crystal structure in Alexandria, relaxed with GGA-PBE.
Kinematic intensities with the Lorentz-polarization factor, no thermal factor.

Peak list (10 most intense, 2θ from 10° to 90°, in order of rising 2θ)
23.72°, I = 46.0
27.45°, I = 34.1
30.77°, I = 100.0
36.59°, I = 63.6
48.54°, I = 25.1
50.65°, I = 51.7
62.28°, I = 20.6
64.09°, I = 12.7
65.87°, I = 17.8
76.12°, I = 13.5

Atomic structure:
```
Pr4Si3
1.0
-4.5946 4.5946 4.5946
4.5946 -4.5946 4.5946
4.5946 4.5946 -4.5946
Pr Si
8 6
direct
0.0000 0.3685 0.5000
0.0000 0.8685 0.5000
0.1315 0.1315 0.1315
0.3685 0.5000 0.0000
0.5000 0.0000 0.3685
0.5000 0.0000 0.8685
0.6315 0.6315 0.6315
0.8685 0.5000 0.0000
0.1250 0.7500 0.8750
0.2500 0.6250 0.3750
0.3750 0.2500 0.6250
0.6250 0.3750 0.2500
0.7500 0.8750 0.1250
0.8750 0.1250 0.7500
```

Record 9
Ba2Sr4Hg: simulated PXRD pattern (Cu Kα), based on a crystal structure in Alexandria, relaxed with GGA-PBE.
Kinematic intensities with the Lorentz-polarization factor, no thermal factor.

Peak list (10 most intense, 2θ from 10° to 90°, in order of rising 2θ)
14.70°, I = 27.9
18.98°, I = 59.5
19.96°, I = 75.1
25.49°, I = 72.9
26.27°, I = 40.7
28.38°, I = 100.0
32.57°, I = 30.0
38.50°, I = 85.2
40.57°, I = 38.2
48.52°, I = 40.2

Atomic structure:
```
Ba2Sr4Hg
1.0
-3.1451 3.1451 10.4903
3.1451 -3.1451 10.4903
3.1451 3.1451 -10.4903
Ba Sr Hg
2 4 1
direct
0.1483 0.1483 0.0000
0.8517 0.8517 0.0000
0.0000 0.5000 0.5000
0.3473 0.3473 0.0000
0.5000 0.0000 0.5000
0.6527 0.6527 0.0000
0.5000 0.5000 0.0000
```

Record 10
SnB2AsO: simulated PXRD pattern (Cu Kα), based on a crystal structure in Alexandria, relaxed with GGA-PBE.
Kinematic intensities with the Lorentz-polarization factor, no thermal factor.

Peak list (10 most intense, 2θ from 10° to 90°, in order of rising 2θ)
20.55°, I = 100.0
29.22°, I = 51.0
32.05°, I = 27.5
38.38°, I = 41.8
41.80°, I = 26.0
43.92°, I = 34.2
47.01°, I = 23.9
53.62°, I = 26.3
58.03°, I = 26.3
77.80°, I = 12.9

Atomic structure:
```
SnB2AsO
1.0
4.3225 0.0000 0.0000
0.0000 4.3225 0.0000
0.0000 0.0000 5.5846
Sn B As O
1 2 1 1
direct
0.0000 0.0000 0.0000
0.0000 0.5000 0.0000
0.5000 0.0000 0.0000
0.0000 0.0000 0.5000
0.5000 0.5000 0.5000
```

Record 11
LaDy2Au4: simulated PXRD pattern (Cu Kα), based on a crystal structure in Alexandria, relaxed with GGA-PBE.
Kinematic intensities with the Lorentz-polarization factor, no thermal factor.

Peak list (10 most intense, 2θ from 10° to 90°, in order of rising 2θ)
24.62°, I = 9.2
35.09°, I = 53.5
35.84°, I = 100.0
50.47°, I = 19.3
52.70°, I = 8.1
63.45°, I = 38.6
64.90°, I = 17.4
75.97°, I = 11.2
84.77°, I = 9.0
85.21°, I = 8.9

Atomic structure:
```
LaDy2Au4
1.0
5.1142 0.0000 0.0000
0.0000 5.1142 0.0000
0.0000 0.0000 6.9479
La Dy Au
1 2 4
direct
0.0000 0.0000 0.0000
0.0000 0.0000 0.5000
0.5000 0.5000 0.0000
0.0000 0.5000 0.2606
0.0000 0.5000 0.7394
0.5000 0.0000 0.2606
0.5000 0.0000 0.7394
```

Record 12
Zr13Pb3: simulated PXRD pattern (Cu Kα), based on a crystal structure in Alexandria, relaxed with GGA-PBE.
Kinematic intensities with the Lorentz-polarization factor, no thermal factor.

Peak list (10 most intense, 2θ from 10° to 90°, in order of rising 2θ)
34.26°, I = 100.0
37.95°, I = 18.0
39.36°, I = 17.5
41.90°, I = 14.4
55.83°, I = 11.5
58.84°, I = 10.4
66.20°, I = 12.6
68.11°, I = 13.0
71.63°, I = 11.2
72.18°, I = 10.5

Atomic structure:
```
Zr13Pb3
1.0
8.6248 0.0000 0.0000
0.0000 4.5781 4.7417
0.0000 -4.5781 4.7417
Zr Pb
13 3
direct
0.0000 0.0000 0.0000
0.0000 0.0076 0.5086
0.0000 0.5086 0.0076
0.0000 0.5170 0.5170
0.2467 0.7523 0.7523
0.2535 0.2510 0.7650
0.2535 0.7650 0.2510
0.5000 0.0127 0.4979
0.5000 0.4979 0.0127
0.5000 0.5084 0.5084
0.7465 0.2510 0.7650
0.7465 0.7650 0.2510
0.7533 0.7523 0.7523
0.2437 0.2694 0.2694
0.5000 0.9839 0.9839
0.7563 0.2694 0.2694
```